Record 1
Calculated powder diffractogram
Compound: LaNd2Ir2
Radiation: Cu Kα (λ = 1.5418 Å)
Structure: DFT lattice parameters and positions (GGA-PBE)
No peak broadening, texture or thermal motion is included.

Largest 10 diffraction maxima, low angle first, 2θ from 10° to 90°:
(hkl), 2θ (°), I_rel
2 0 0, 13.90, 22
2 0 -1, 16.98, 41
3 1 0, 29.92, 100
2 0 -2, 31.24, 49
3 1 1, 38.81, 34
0 2 0, 43.06, 20
1 1 2, 43.80, 70
4 0 2, 53.75, 14
2 2 -2, 54.16, 21
7 1 -4, 73.34, 15

```
data_LaNd2Ir2
_space_group_name_H-M_alt 'C 1 2/m 1'
_space_group_IT_number 12
_cell_length_a 13.959
_cell_length_b 4.201
_cell_length_c 5.726
_cell_angle_alpha 90.00
_cell_angle_beta 114.12
_cell_angle_gamma 90.00
loop_
_space_group_symop_operation_xyz
'x,y,z'
'-x,-y,-z'
'-x,y,-z'
'x,-y,z'
'x+1/2,y+1/2,z'
'-x+1/2,-y+1/2,-z'
'-x+1/2,y+1/2,-z'
'x+1/2,-y+1/2,z'
loop_
_atom_site_label
_atom_site_type_symbol
_atom_site_fract_x
_atom_site_fract_y
_atom_site_fract_z
La1 La 0.000 0.000 0.000
Nd1 Nd 0.190 0.500 0.691
Ir1 Ir 0.153 0.500 0.153
```


Record 2
Calculated powder diffractogram
Compound: La2PuOs
Radiation: Cu Kα (λ = 1.5418 Å)
Structure: DFT lattice parameters and positions (GGA-PBE)
No peak broadening, texture or thermal motion is included.

Largest 10 diffraction maxima, low angle first, 2θ from 10° to 90°:
(hkl), 2θ (°), I_rel
0 0 6, 16.87, 44
1 0 1, 26.05, 30
0 1 2, 26.51, 94
0 1 8, 34.60, 100
1 0 10, 38.73, 57
1 1 0, 45.67, 57
1 0 16, 53.58, 36
2 0 8, 58.53, 22
1 1 18, 71.84, 27
1 2 8, 77.24, 20

```
data_La2PuOs
_space_group_name_H-M_alt 'R -3 m'
_space_group_IT_number 166
_space_group_name_Hall '-R 3 2"'
_cell_length_a 3.9737
_cell_length_b 3.9737
_cell_length_c 31.5369
_cell_angle_alpha 90.00
_cell_angle_beta 90.00
_cell_angle_gamma 120.00
loop_
_atom_site_label
_atom_site_type_symbol
_atom_site_fract_x
_atom_site_fract_y
_atom_site_fract_z
La1 La 0.0000 0.0000 0.1150
Pu1 Pu 0.0000 0.0000 0.0000
Os1 Os 0.0000 0.0000 0.5000
```


Record 3
Calculated powder diffractogram
Compound: Ti2Be17
Radiation: Cu Kα (λ = 1.5418 Å)
Structure: DFT lattice parameters and positions (GGA-PBE)
No peak broadening, texture or thermal motion is included.

Largest 10 diffraction maxima, low angle first, 2θ from 10° to 90°:
(hkl), 2θ (°), I_rel
1 0 1, 18.67, 51
1 1 0, 24.25, 76
0 0 2, 24.88, 26
2 0 1, 30.78, 26
1 1 2, 35.02, 100
2 1 1, 39.56, 26
3 0 0, 42.66, 45
2 2 0, 49.67, 42
3 0 2, 50.02, 75
4 1 2, 73.16, 22

```
data_Ti2Be17
_space_group_name_H-M_alt 'P 63/m m c'
_space_group_IT_number 194
_space_group_name_Hall '-P 6c 2c'
_cell_length_a 7.3416
_cell_length_b 7.3416
_cell_length_c 7.1563
_cell_angle_alpha 90.00
_cell_angle_beta 90.00
_cell_angle_gamma 120.00
loop_
_atom_site_label
_atom_site_type_symbol
_atom_site_fract_x
_atom_site_fract_y
_atom_site_fract_z
Ti1 Ti 0.0000 0.0000 0.2500
Ti2 Ti 0.3333 0.6667 0.2500
Be1 Be 0.0000 0.5000 0.0000
Be2 Be 0.0399 0.3707 0.7500
Be3 Be 0.1645 0.3291 0.0154
Be4 Be 0.3333 0.6667 0.6025
```